(1)
This entry pairs a crystal structure of Pr4HgPSe2 with its calculated powder diffractogram. Radiation: Cu Kα (λ = 1.5418 Å). Structure: a cell relaxed with PBE.
Intensities are scaled so that the largest is 100.

```
Pr4HgPSe2
1.0
7.465 0.000 0.000
0.000 4.253 0.000
-2.440 0.000 7.116
Pr Hg P Se
4 1 1 2
Cartesian
1.236 0.000 1.659 Pr
0.043 2.126 5.447 Pr
4.982 2.126 1.669 Pr
3.789 0.000 5.457 Pr
-1.220 0.000 3.558 Hg
0.000 2.126 0.000 P
3.732 0.000 0.000 Se
2.512 2.126 3.558 Se
```

Most intense lines, 10 to 90 degrees two-theta, in order of rising 2θ:
2θ/deg  d_spacing  I (rel.)
29.33  3.045  100.0
41.46  2.178  12.5
41.82  2.160  24.7
42.07  2.148  25.3
42.52  2.126  12.3
51.79  1.765  6.8
52.47  1.744  13.1
60.89  1.521  8.0
68.76  1.365  10.7
69.12  1.359  11.4

(2)
This entry pairs a crystal structure of RbHg2PSe4 with its calculated powder diffractogram. Radiation: Cu Kα (λ = 1.5418 Å). Structure: a cell relaxed with PBE.
Intensities are scaled so that the largest is 100.

```
RbHg2PSe4
1.0
0.000 5.472 4.464
5.127 0.000 4.464
5.127 5.472 0.000
Rb Hg P Se
1 2 1 4
Cartesian
0.000 0.000 0.000 Rb
2.564 2.736 1.697 Hg
7.691 8.207 6.161 Hg
5.127 5.472 4.469 P
5.127 3.629 3.241 Se
6.983 5.472 5.826 Se
5.127 7.314 3.241 Se
3.271 5.472 5.826 Se
```

Most intense lines, 10 to 90 degrees two-theta, in order of rising 2θ:
2θ/deg  d_spacing  I (rel.)
19.89  4.464  28.2
23.78  3.741  30.8
25.76  3.459  32.0
26.47  3.367  100.0
31.19  2.867  23.8
32.73  2.736  23.1
35.00  2.564  22.5
38.60  2.333  24.0
42.58  2.123  36.6
43.96  2.060  26.3

(3)
This entry pairs a crystal structure of RbHgPSe4 with its calculated powder diffractogram. Radiation: Cu Kα (λ = 1.5418 Å). Structure: a cell relaxed with PBE.
Intensities are scaled so that the largest is 100.

```
RbHgPSe4
1.0
6.695 0.000 0.000
0.000 7.631 0.000
-2.431 0.000 9.358
Rb Hg P Se
2 2 2 8
Cartesian
1.394 1.908 0.555 Rb
2.870 5.724 8.803 Rb
0.220 1.908 5.740 Hg
4.044 5.724 3.618 Hg
0.587 5.724 2.726 P
3.678 1.908 6.632 P
-1.631 0.137 6.676 Se
-1.631 3.679 6.676 Se
1.933 5.724 1.003 Se
1.722 5.724 4.678 Se
2.543 1.908 4.681 Se
2.332 1.908 8.355 Se
5.896 3.952 2.683 Se
5.896 7.495 2.683 Se
```

Most intense lines, 10 to 90 degrees two-theta, in order of rising 2θ:
2θ/deg  d_spacing  I (rel.)
14.98  5.914  97.4
17.96  4.940  37.6
22.29  3.989  40.1
23.31  3.816  46.3
26.14  3.409  100.0
27.12  3.288  39.2
30.22  2.957  42.8
31.19  2.868  54.9
31.62  2.829  40.6
36.38  2.470  56.7

(4)
This entry pairs a crystal structure of HgPS4 with its calculated powder diffractogram. Radiation: Cu Kα (λ = 1.5418 Å). Structure: a cell relaxed with PBE.
Intensities are scaled so that the largest is 100.

```
HgPS4
1.0
3.180 -5.729 0.000
3.180 5.729 0.000
-2.497 0.000 9.558
Hg P S
2 2 8
Cartesian
1.931 3.631 4.779 Hg
3.180 -3.631 0.000 Hg
0.184 1.483 7.105 P
1.433 -1.483 2.326 P
2.567 3.862 2.465 S
0.099 0.578 5.272 S
1.307 3.244 7.069 S
1.348 -0.578 0.493 S
1.000 0.532 8.693 S
2.249 -0.532 3.915 S
2.556 -3.244 2.291 S
1.319 -3.862 7.244 S
```

Most intense lines, 10 to 90 degrees two-theta, in order of rising 2θ:
2θ/deg  d_spacing  I (rel.)
15.47  5.729  35.6
16.91  5.243  86.8
18.05  4.914  85.3
20.56  4.320  100.0
27.49  3.245  80.7
29.02  3.077  32.6
29.18  3.061  35.7
32.26  2.775  33.5
32.63  2.744  33.4
37.63  2.390  32.4

(5)
This entry pairs a crystal structure of HgTePS6 with its calculated powder diffractogram. Radiation: Cu Kα (λ = 1.5418 Å). Structure: a cell relaxed with PBE.
Intensities are scaled so that the largest is 100.

```
HgTePS6
1.0
6.873 0.000 0.000
-3.009 6.315 0.000
-2.141 -1.437 6.998
Hg Te P S
1 1 1 6
Cartesian
0.000 0.000 0.000 Hg
-0.826 1.703 3.212 Te
3.323 4.619 3.101 P
-2.089 3.888 1.900 S
0.195 -0.304 4.480 S
0.719 1.850 1.458 S
1.044 3.361 5.171 S
1.759 5.407 2.126 S
2.793 2.892 4.263 S
```

Most intense lines, 10 to 90 degrees two-theta, in order of rising 2θ:
2θ/deg  d_spacing  I (rel.)
15.25  5.811  100.0
16.11  5.500  18.0
17.12  5.181  28.4
20.99  4.232  12.5
24.79  3.592  12.2
27.71  3.220  11.6
28.37  3.146  16.6
28.87  3.092  18.9
31.68  2.824  16.8
32.00  2.797  19.4

(6)
This entry pairs a crystal structure of Sc6HgP2Se3 with its calculated powder diffractogram. Radiation: Cu Kα (λ = 1.5418 Å). Structure: a cell relaxed with PBE.
Intensities are scaled so that the largest is 100.

```
Sc6HgP2Se3
1.0
8.416 -1.906 0.000
8.416 1.906 0.000
-1.741 0.000 7.681
Sc Hg P Se
6 1 2 3
Cartesian
-0.329 0.000 2.066 Sc
4.755 0.000 3.287 Sc
3.949 0.000 6.838 Sc
11.143 0.000 0.843 Sc
10.337 0.000 4.394 Sc
15.420 0.000 5.614 Sc
8.416 0.000 0.000 Hg
2.245 0.000 2.598 P
12.847 0.000 5.083 P
1.306 0.000 6.406 Se
7.546 0.000 3.840 Se
13.786 0.000 1.275 Se
```

Most intense lines, 10 to 90 degrees two-theta, in order of rising 2θ:
2θ/deg  d_spacing  I (rel.)
10.78  8.208  17.0
11.52  7.681  12.0
32.71  2.738  100.0
46.11  1.969  11.7
46.72  1.944  22.7
47.17  1.927  22.9
47.72  1.906  12.1
59.08  1.564  11.4
68.55  1.369  10.2
78.41  1.220  9.4

(7)
This entry pairs a crystal structure of Hg4PSe6 with its calculated powder diffractogram. Radiation: Cu Kα (λ = 1.5418 Å). Structure: a cell relaxed with PBE.
Intensities are scaled so that the largest is 100.

```
Hg4PSe6
1.0
6.641 -3.820 0.000
6.641 3.820 0.000
-4.561 0.000 12.378
Hg P Se
8 2 12
Cartesian
4.361 3.395 6.189 Hg
4.502 0.751 0.111 Hg
2.221 -0.751 6.300 Hg
4.588 1.448 10.579 Hg
10.010 0.972 2.487 Hg
6.869 -1.448 4.390 Hg
6.641 -3.395 0.000 Hg
7.730 -0.972 8.676 Hg
6.379 2.038 3.214 P
4.098 -2.038 9.403 P
2.044 1.950 6.336 Se
4.197 1.955 2.632 Se
0.912 0.046 2.611 Se
-1.368 -0.046 8.800 Se
1.941 1.945 11.027 Se
6.468 1.745 5.495 Se
4.325 -1.950 0.147 Se
7.380 0.203 2.223 Se
5.099 -0.203 8.412 Se
1.916 -1.955 8.821 Se
4.221 -1.945 4.838 Se
4.187 -1.745 11.684 Se
```

Most intense lines, 10 to 90 degrees two-theta, in order of rising 2θ:
2θ/deg  d_spacing  I (rel.)
23.50  3.786  50.5
24.26  3.669  97.6
24.39  3.650  100.0
27.41  3.254  61.6
28.60  3.121  98.3
29.62  3.016  64.2
43.30  2.090  53.5
43.45  2.083  52.9
43.58  2.077  69.8
43.87  2.064  40.8

(8)
This entry pairs a crystal structure of Hg2P2Se7 with its calculated powder diffractogram. Radiation: Cu Kα (λ = 1.5418 Å). Structure: a cell relaxed with PBE.
Intensities are scaled so that the largest is 100.

```
Hg2P2Se7
1.0
4.259 -6.623 0.000
4.259 6.623 0.000
-2.586 0.000 13.088
Hg P Se
4 4 14
Cartesian
0.416 0.092 5.466 Hg
-0.877 -0.092 12.010 Hg
6.809 0.092 1.078 Hg
5.516 -0.092 7.622 Hg
2.053 0.398 2.272 P
0.760 -0.398 8.816 P
5.172 0.398 4.272 P
3.879 -0.398 10.816 P
-0.560 1.245 8.096 Se
1.227 1.836 3.729 Se
0.734 -1.245 1.551 Se
2.793 1.661 0.619 Se
-0.066 -1.836 10.274 Se
2.319 0.996 9.816 Se
1.500 -1.661 7.163 Se
4.432 1.661 5.925 Se
3.613 -0.996 3.272 Se
5.998 1.836 2.815 Se
3.139 -1.661 12.470 Se
5.198 1.245 11.537 Se
4.705 -1.836 9.359 Se
6.492 -1.245 4.993 Se
```

Most intense lines, 10 to 90 degrees two-theta, in order of rising 2θ:
2θ/deg  d_spacing  I (rel.)
13.37  6.623  100.0
19.94  4.452  19.9
21.26  4.178  22.1
22.12  4.019  20.3
26.63  3.347  22.2
27.20  3.279  42.0
27.65  3.226  26.5
28.11  3.174  24.6
34.12  2.628  28.1
37.42  2.403  20.2

(9)
This entry pairs a crystal structure of HgPSe2 with its calculated powder diffractogram. Radiation: Cu Kα (λ = 1.5418 Å). Structure: a cell relaxed with PBE.
Intensities are scaled so that the largest is 100.

```
HgPSe2
1.0
3.712 0.000 0.000
0.000 3.712 0.000
0.000 0.000 16.858
Hg P Se
2 2 4
Cartesian
0.000 0.000 0.000 Hg
1.856 1.856 8.429 Hg
0.000 1.856 12.644 P
1.856 0.000 4.215 P
0.000 0.000 8.429 Se
0.000 1.856 4.215 Se
1.856 0.000 12.644 Se
1.856 1.856 0.000 Se
```

Most intense lines, 10 to 90 degrees two-theta, in order of rising 2θ:
2θ/deg  d_spacing  I (rel.)
10.50  8.429  75.3
21.08  4.215  96.9
24.55  3.626  28.2
28.82  3.098  19.3
35.83  2.506  100.0
47.39  1.918  45.1
49.08  1.856  20.3
53.98  1.699  30.6
65.85  1.418  18.9
83.06  1.163  19.4

(10)
This entry pairs a crystal structure of HgTe2P2 with its calculated powder diffractogram. Radiation: Cu Kα (λ = 1.5418 Å). Structure: a cell relaxed with PBE.
Intensities are scaled so that the largest is 100.

```
HgTe2P2
1.0
8.471 0.000 0.000
0.000 8.471 0.000
0.000 0.000 3.689
Hg Te P
2 4 4
Cartesian
0.000 0.000 0.000 Hg
4.236 4.236 0.000 Hg
1.264 2.971 1.844 Te
2.971 7.207 1.844 Te
5.500 1.264 1.844 Te
7.207 5.500 1.844 Te
1.745 5.980 0.000 P
2.491 1.745 0.000 P
5.980 6.727 0.000 P
6.727 2.491 0.000 P
```

Most intense lines, 10 to 90 degrees two-theta, in order of rising 2θ:
2θ/deg  d_spacing  I (rel.)
14.79  5.990  30.7
23.48  3.788  50.1
28.41  3.141  98.2
29.83  2.995  39.1
32.18  2.782  44.0
33.45  2.679  100.0
33.92  2.643  76.5
49.64  1.837  49.4
52.08  1.756  35.4
60.99  1.519  35.7